KCuPdS2: calculated XRD peak list (Cu Kα), based on a structure optimized by DFT (PBE).
No peak broadening, texture or thermal motion is included.

The 10 most intense peaks (10 to 80 degrees two-theta), in order of rising 2θ:
| (hkl) | d/Å | Rel. int. |
| --- | --- | --- |
| 0 0 1 | 6.819 | 1000 |
| 0 0 2 | 3.410 | 214 |
| 0 1 1 | 3.374 | 151 |
| 1 0 2 | 2.545 | 159 |
| 1 1 1 | 2.530 | 672 |
| 1 1 2 | 2.129 | 371 |
| 0 2 0 | 1.941 | 139 |
| 2 0 0 | 1.912 | 132 |
| 1 1 3 | 1.745 | 309 |
| 2 2 0 | 1.363 | 100 |

Lattice parameters (Å, degrees): 3.8249 3.8827 6.8193 90.00 90.00 90.00
Element x y z (fractional)
K1 0.0000 0.0000 0.0000
Cu1 0.5000 0.0000 0.5000
Pd1 0.0000 0.5000 0.5000
S1 0.5000 0.5000 0.2793
S2 0.5000 0.5000 0.7207

KPmCuS2: calculated XRD peak list (Cu Kα), based on a structure optimized by DFT (PBE).
No peak broadening, texture or thermal motion is included.

The 10 most intense peaks (10 to 80 degrees two-theta), in order of rising 2θ:
| (hkl) | d/Å | Rel. int. |
| --- | --- | --- |
| 1 0 0 | 7.323 | 1000 |
| 1 1 0 | 3.934 | 144 |
| 2 0 0 | 3.662 | 228 |
| 0 1 2 | 3.017 | 239 |
| 1 1 -2 | 2.941 | 352 |
| 1 1 2 | 2.659 | 315 |
| 2 1 -2 | 2.511 | 211 |
| 1 2 0 | 2.222 | 175 |
| 2 1 2 | 2.181 | 172 |
| 3 1 -2 | 2.046 | 154 |

Lattice parameters (Å, degrees): 7.4546 4.6641 8.0543 90.00 100.78 90.00
Element x y z (fractional)
K1 0.0000 0.1755 0.2500
K2 0.0000 0.8245 0.7500
Pm1 0.5000 0.4908 0.7500
Pm2 0.5000 0.5092 0.2500
Cu1 0.5000 0.0000 0.0000
Cu2 0.5000 0.0000 0.5000
S1 0.2663 0.3027 0.9629
S2 0.2663 0.6973 0.4629
S3 0.7337 0.3027 0.5371
S4 0.7337 0.6973 0.0371